Entry 1:
This entry pairs a crystal structure of Na3Er2MoO6 with its simulated powder diffractogram. Radiation: Cu Kα (λ = 1.5418 Å). Structure: a structure optimized by DFT (GGA+U).
Neutral-atom scattering factors, no anomalous dispersion.

The 12 most intense peaks (2θ from 10° to 90°), sorted by position:
15.94 deg, I = 100, hkl 0 0 1
31.49 deg, I = 48, hkl 2 0 -1
32.21 deg, I = 22, hkl 0 0 2
32.87 deg, I = 58, hkl 2 0 0
37.94 deg, I = 85, hkl 1 3 1
41.40 deg, I = 19, hkl 1 3 -2
49.64 deg, I = 18, hkl 1 3 2
54.30 deg, I = 27, hkl 2 0 2
55.18 deg, I = 27, hkl 3 3 -1
57.83 deg, I = 20, hkl 3 3 0
65.32 deg, I = 12, hkl 3 3 1
68.93 deg, I = 13, hkl 4 0 0

Crystal structure
```
data_Na3Er2MoO6
_cell_length_a 5.765
_cell_length_b 9.987
_cell_length_c 5.878
_cell_angle_alpha 90.00
_cell_angle_beta 108.97
_cell_angle_gamma 90.00
_symmetry_space_group_name_H-M 'C 1 2/m 1'
_symmetry_Int_Tables_number 12
_symmetry_space_group_name_Hall '-C 2y'
loop_
_atom_site_label
_atom_site_type_symbol
_atom_site_fract_x
_atom_site_fract_y
_atom_site_fract_z
_atom_site_occupancy
Na1 Na 0.000 0.000 0.000 1
Na2 Na 0.000 0.339 0.000 1
Er1 Er 0.000 0.167 0.500 1
Mo1 Mo 0.000 0.500 0.500 1
O1 O 0.234 0.336 0.711 1
O2 O 0.242 0.000 0.710 1
```

---

Entry 2:
This entry pairs a crystal structure of Na3Er3MoO8 with its simulated powder diffractogram. Radiation: Cu Kα (λ = 1.5418 Å). Structure: a structure optimized by DFT (GGA+U).
Neutral-atom scattering factors, no anomalous dispersion.

The 12 most intense peaks (2θ from 10° to 90°), sorted by position:
15.91 deg, I = 100, hkl 0 0 1
31.19 deg, I = 16, hkl 4 0 -1
31.44 deg, I = 31, hkl 2 2 -1
32.14 deg, I = 18, hkl 0 0 2
32.74 deg, I = 47, hkl 2 2 0
37.53 deg, I = 23, hkl 4 0 0
37.95 deg, I = 45, hkl 2 2 -2
41.20 deg, I = 12, hkl 2 2 1
49.65 deg, I = 12, hkl 2 2 -3
54.05 deg, I = 14, hkl 2 2 2
54.82 deg, I = 15, hkl 6 2 -2
68.62 deg, I = 11, hkl 4 4 0

Crystal structure
```
data_Na3Er3MoO8
_cell_length_a 11.625
_cell_length_b 6.660
_cell_length_c 6.755
_cell_angle_alpha 90.00
_cell_angle_beta 124.46
_cell_angle_gamma 90.00
_symmetry_space_group_name_H-M 'C 1 2/m 1'
_symmetry_Int_Tables_number 12
_symmetry_space_group_name_Hall '-C 2y'
loop_
_atom_site_label
_atom_site_type_symbol
_atom_site_fract_x
_atom_site_fract_y
_atom_site_fract_z
_atom_site_occupancy
Na1 Na 0.000 0.000 0.000 1
Na2 Na 0.250 0.250 0.000 1
Er1 Er 0.000 0.500 0.500 1
Er2 Er 0.250 0.250 0.500 1
Mo1 Mo 0.000 0.000 0.500 1
O1 O 0.012 0.230 0.304 1
O2 O 0.225 0.000 0.700 1
O3 O 0.234 0.500 0.707 1
```

---

Entry 3:
This entry pairs a crystal structure of Na2ErMoO4 with its simulated powder diffractogram. Radiation: Cu Kα (λ = 1.5418 Å). Structure: a structure optimized by DFT (GGA+U).
Neutral-atom scattering factors, no anomalous dispersion.

The 12 most intense peaks (2θ from 10° to 90°), sorted by position:
16.00 deg, I = 100, hkl 0 0 1
31.57 deg, I = 31, hkl 1 1 0
31.99 deg, I = 15, hkl 2 0 -1
32.33 deg, I = 21, hkl 0 0 2
32.93 deg, I = 39, hkl 1 1 -1
33.42 deg, I = 19, hkl 2 0 0
38.08 deg, I = 60, hkl 1 1 1
38.36 deg, I = 30, hkl 2 0 -2
41.47 deg, I = 12, hkl 1 1 -2
49.85 deg, I = 12, hkl 1 1 2
54.43 deg, I = 19, hkl 1 1 -3
55.89 deg, I = 19, hkl 3 1 -1

Crystal structure
```
data_Na2ErMoO4
_cell_length_a 5.672
_cell_length_b 3.338
_cell_length_c 5.859
_cell_angle_alpha 90.00
_cell_angle_beta 109.04
_cell_angle_gamma 90.00
_symmetry_space_group_name_H-M 'P 1 2/m 1'
_symmetry_Int_Tables_number 10
_symmetry_space_group_name_Hall '-P 2y'
loop_
_atom_site_label
_atom_site_type_symbol
_atom_site_fract_x
_atom_site_fract_y
_atom_site_fract_z
_atom_site_occupancy
Na1 Na 0.000 0.000 0.000 1
Na2 Na 0.500 0.500 0.000 1
Er1 Er 0.000 0.500 0.500 1
Mo1 Mo 0.500 0.000 0.500 1
O1 O 0.241 0.000 0.713 1
O2 O 0.272 0.500 0.291 1
```

---

Entry 4:
This entry pairs a crystal structure of Na2ErMoPO8 with its simulated powder diffractogram. Radiation: Cu Kα (λ = 1.5418 Å). Structure: a structure optimized by DFT (GGA+U).
Neutral-atom scattering factors, no anomalous dispersion.

The 12 most intense peaks (2θ from 10° to 90°), sorted by position:
14.59 deg, I = 55, hkl 0 2 0
17.70 deg, I = 36, hkl 1 1 2
19.51 deg, I = 32, hkl 0 0 4
20.07 deg, I = 43, hkl 1 2 1
24.43 deg, I = 28, hkl 1 2 3
27.35 deg, I = 32, hkl 1 3 2
27.64 deg, I = 100, hkl 2 0 2
29.45 deg, I = 43, hkl 0 0 6
32.58 deg, I = 72, hkl 1 4 1
35.53 deg, I = 45, hkl 1 4 3
47.90 deg, I = 32, hkl 2 0 8
50.01 deg, I = 30, hkl 3 4 1

Crystal structure
```
data_Na2ErMoPO8
_cell_length_a 6.904
_cell_length_b 12.145
_cell_length_c 18.199
_cell_angle_alpha 90.00
_cell_angle_beta 90.00
_cell_angle_gamma 90.00
_symmetry_space_group_name_H-M 'I b c a'
_symmetry_Int_Tables_number 73
_symmetry_space_group_name_Hall '-I 2b 2c'
loop_
_atom_site_label
_atom_site_type_symbol
_atom_site_fract_x
_atom_site_fract_y
_atom_site_fract_z
_atom_site_occupancy
Na1 Na 0.005 0.054 0.154 1
Er1 Er 0.250 0.178 0.500 1
Mo1 Mo 0.000 0.250 0.323 1
P1 P 0.250 0.069 0.000 1
O1 O 0.041 0.129 0.769 1
O2 O 0.074 0.149 0.007 1
O3 O 0.212 0.226 0.380 1
O4 O 0.240 0.008 0.568 1
```

---

Entry 5:
This entry pairs a crystal structure of Er3MoO7 with its simulated powder diffractogram. Radiation: Cu Kα (λ = 1.5418 Å). Structure: a structure optimized by DFT (GGA+U).
Neutral-atom scattering factors, no anomalous dispersion.

The 12 most intense peaks (2θ from 10° to 90°), sorted by position:
29.35 deg, I = 99, hkl 2 2 0
29.57 deg, I = 100, hkl 0 2 2
34.06 deg, I = 46, hkl 2 0 2
34.34 deg, I = 21, hkl 0 4 0
48.64 deg, I = 12, hkl 4 0 0
49.16 deg, I = 72, hkl 0 0 4
57.96 deg, I = 22, hkl 4 2 2
58.35 deg, I = 28, hkl 2 2 4
58.47 deg, I = 11, hkl 2 6 0
58.60 deg, I = 12, hkl 0 6 2
61.39 deg, I = 9, hkl 0 4 4
79.85 deg, I = 17, hkl 0 2 6

Crystal structure
```
data_Er3MoO7
_cell_length_a 7.488
_cell_length_b 10.445
_cell_length_c 7.405
_cell_angle_alpha 90.00
_cell_angle_beta 90.00
_cell_angle_gamma 90.00
_symmetry_space_group_name_H-M 'C 2 2 21'
_symmetry_Int_Tables_number 20
_symmetry_space_group_name_Hall 'C 2c 2'
loop_
_atom_site_label
_atom_site_type_symbol
_atom_site_fract_x
_atom_site_fract_y
_atom_site_fract_z
_atom_site_occupancy
Er1 Er 0.032 0.000 0.000 1
Er2 Er 0.232 0.267 0.756 1
Mo1 Mo 0.002 0.500 0.000 1
O1 O 0.000 0.131 0.250 1
O2 O 0.000 0.137 0.750 1
O3 O 0.000 0.423 0.750 1
O4 O 0.186 0.373 0.038 1
O5 O 0.206 0.378 0.474 1
```

---

Entry 6:
This entry pairs a crystal structure of Er2Mo4O15 with its simulated powder diffractogram. Radiation: Cu Kα (λ = 1.5418 Å). Structure: a structure optimized by DFT (GGA+U).
Neutral-atom scattering factors, no anomalous dispersion.

The 12 most intense peaks (2θ from 10° to 90°), sorted by position:
19.41 deg, I = 19, hkl 0 1 2
19.86 deg, I = 60, hkl 1 1 1
20.94 deg, I = 35, hkl 1 1 -2
24.31 deg, I = 27, hkl 1 0 2
25.18 deg, I = 100, hkl 0 2 2
25.53 deg, I = 17, hkl 1 2 1
26.39 deg, I = 44, hkl 1 2 -2
27.58 deg, I = 31, hkl 2 1 -1
27.91 deg, I = 32, hkl 2 0 -2
30.83 deg, I = 22, hkl 1 3 0
32.69 deg, I = 24, hkl 2 2 0
33.70 deg, I = 32, hkl 1 0 -4

Crystal structure
```
data_Er2Mo4O15
_cell_length_a 6.880
_cell_length_b 9.668
_cell_length_c 10.737
_cell_angle_alpha 90.00
_cell_angle_beta 104.86
_cell_angle_gamma 90.00
_symmetry_space_group_name_H-M 'P 1 21/c 1'
_symmetry_Int_Tables_number 14
_symmetry_space_group_name_Hall '-P 2ybc'
loop_
_atom_site_label
_atom_site_type_symbol
_atom_site_fract_x
_atom_site_fract_y
_atom_site_fract_z
_atom_site_occupancy
Er1 Er 0.206 0.023 0.275 1
Mo1 Mo 0.079 0.743 0.009 1
Mo2 Mo 0.384 0.095 0.843 1
O1 O 0.030 0.126 0.400 1
O2 O 0.116 0.163 0.101 1
O3 O 0.125 0.052 0.813 1
O4 O 0.219 0.651 0.916 1
O5 O 0.243 0.636 0.618 1
O6 O 0.384 0.222 0.348 1
O7 O 0.457 0.027 0.708 1
O8 O 0.500 0.000 0.000 1
```

---

Entry 7:
This entry pairs a crystal structure of Er3MoO6 with its simulated powder diffractogram. Radiation: Cu Kα (λ = 1.5418 Å). Structure: a structure optimized by DFT (GGA+U).
Neutral-atom scattering factors, no anomalous dispersion.

The 12 most intense peaks (2θ from 10° to 90°), sorted by position:
23.15 deg, I = 12, hkl 0 2 1
24.31 deg, I = 39, hkl 0 0 3
27.13 deg, I = 18, hkl 2 0 2
29.94 deg, I = 100, hkl 3 -1 1
30.87 deg, I = 41, hkl 2 -1 3
33.18 deg, I = 62, hkl 1 2 2
43.03 deg, I = 19, hkl 4 -1 2
44.05 deg, I = 28, hkl 3 -1 4
49.12 deg, I = 15, hkl 5 -2 1
51.01 deg, I = 32, hkl 4 1 0
53.67 deg, I = 19, hkl 1 1 6
57.29 deg, I = 14, hkl 4 1 3

Crystal structure
```
data_Er3MoO6
_cell_length_a 9.4723
_cell_length_b 9.4723
_cell_length_c 10.9858
_cell_angle_alpha 90.00
_cell_angle_beta 90.00
_cell_angle_gamma 120.00
_symmetry_space_group_name_H-M 'R -3'
_symmetry_Int_Tables_number 148
_symmetry_space_group_name_Hall '-R 3'
loop_
_atom_site_label
_atom_site_type_symbol
_atom_site_fract_x
_atom_site_fract_y
_atom_site_fract_z
_atom_site_occupancy
Er1 Er 0.0409 0.7748 0.2062 1
Mo1 Mo 0.0000 0.0000 0.0000 1
Mo2 Mo 0.0000 0.0000 0.5000 1
O1 O 0.0262 0.8112 0.4033 1
O2 O 0.0280 0.8414 0.8741 1
```

---

Entry 8:
This entry pairs a crystal structure of ErSbMo2O9 with its simulated powder diffractogram. Radiation: Cu Kα (λ = 1.5418 Å). Structure: a structure optimized by DFT (GGA+U).
Neutral-atom scattering factors, no anomalous dispersion.

The 12 most intense peaks (2θ from 10° to 90°), sorted by position:
15.84 deg, I = 47, hkl 0 2 1
18.45 deg, I = 31, hkl 2 2 -1
23.37 deg, I = 79, hkl 0 2 2
25.08 deg, I = 71, hkl 1 3 -2
26.55 deg, I = 100, hkl 2 2 1
27.43 deg, I = 98, hkl 4 0 -2
27.72 deg, I = 71, hkl 2 2 -3
28.51 deg, I = 62, hkl 2 4 -1
32.40 deg, I = 29, hkl 1 5 0
47.28 deg, I = 45, hkl 6 2 -1
48.44 deg, I = 35, hkl 1 5 -4
51.43 deg, I = 27, hkl 3 5 2

Crystal structure
```
data_ErSbMo2O9
_cell_length_a 13.026
_cell_length_b 14.282
_cell_length_c 10.813
_cell_angle_alpha 90.00
_cell_angle_beta 123.67
_cell_angle_gamma 90.00
_symmetry_space_group_name_H-M 'C 1 2/c 1'
_symmetry_Int_Tables_number 15
_symmetry_space_group_name_Hall '-C 2yc'
loop_
_atom_site_label
_atom_site_type_symbol
_atom_site_fract_x
_atom_site_fract_y
_atom_site_fract_z
_atom_site_occupancy
Er1 Er 0.000 0.126 0.250 1
Er2 Er 0.000 0.329 0.750 1
Sb1 Sb 0.136 0.484 0.535 1
Mo1 Mo 0.153 0.107 0.024 1
Mo2 Mo 0.246 0.189 0.692 1
O1 O 0.018 0.440 0.600 1
O2 O 0.083 0.013 0.897 1
O3 O 0.083 0.214 0.929 1
O4 O 0.116 0.261 0.272 1
O5 O 0.129 0.089 0.171 1
O6 O 0.142 0.164 0.500 1
O7 O 0.175 0.270 0.748 1
O8 O 0.185 0.407 0.920 1
O9 O 0.215 0.423 0.204 1
```